Calculated powder X-ray diffraction pattern
Compound: Ba6Na2Nb2P2O17
Radiation: CuKα
Structure: DFT lattice parameters and positions (PBE)
Lines closer than 0.1° are merged.

Cell and atoms:
```
data_Ba6Na2Nb2P2O17
_chemical_formula_sum 'Ba6 Na2 Nb2 P2 O17'
_cell_length_a 5.9100
_cell_length_b 5.9100
_cell_length_c 14.7596
_cell_angle_alpha 90.00
_cell_angle_beta 90.00
_cell_angle_gamma 120.00
_symmetry_space_group_name_H-M 'P -3 m 1'
_symmetry_Int_Tables_number 164
_symmetry_space_group_name_Hall '-P 3 2"'
loop_
_atom_site_label
_atom_site_fract_x
_atom_site_fract_y
_atom_site_fract_z
_atom_site_occupancy
Ba1 0.0000 0.0000 0.0000 1
Ba2 0.0000 0.0000 0.5000 1
Ba3 0.3333 0.6667 0.3197 1
Ba4 0.3333 0.6667 0.8438 1
Na1 0.0000 0.0000 0.2530 1
Nb1 0.3333 0.6667 0.0881 1
P1 0.3333 0.6667 0.6047 1
O1 0.0000 0.5000 0.0000 1
O2 0.1765 0.3530 0.1610 1
O3 0.1898 0.3796 0.6428 1
O4 0.3333 0.6667 0.5004 1
```

Largest 12 diffraction maxima, low angle first, 2θ from 10° to 90°:
2theta	I_rel	h k l
21.1	33.1	1 0 2
29.9	87.9	0 1 4
30.2	100.0	1 1 0
37.2	25.1	0 2 2
43.0	52.7	2 0 4
52.7	14.0	1 0 8
53.5	32.7	1 2 4
53.7	18.8	3 0 0
62.0	13.5	0 2 8
62.9	20.6	2 2 0
70.5	13.3	2 1 8
71.2	15.4	3 1 4